No. 1
Structure and calculated X-ray powder pattern of In2GaAs3 (a crystal structure in the Materials Project, relaxed with GGA-PBE; Cu Kα X-rays).
Intensities are scaled so that the largest is 100.

The 6 most intense peaks (10 to 90 degrees two-theta), sorted by position:
25.51 deg, I = 100; 42.26 deg, I = 74; 50.01 deg, I = 46; 67.49 deg, I = 18; 77.24 deg, I = 16; 82.90 deg, I = 10

Structural model:
Cell: 9.552 9.552 9.552 Å, 154.11 154.11 36.95°
Fractional coordinates of all 6 atoms:
In 0.163 0.163 0.000
In 0.837 0.837 0.000
Ga 0.500 0.500 0.000
As 0.075 0.575 0.500
As 0.425 0.925 0.500
As 0.750 0.250 0.500

---

No. 2
Structure and calculated X-ray powder pattern of Th2Cu (a crystal structure in the Materials Project, relaxed with GGA-PBE; Cu Kα X-rays).
Intensities are scaled so that the largest is 100.

The 6 most intense peaks (10 to 90 degrees two-theta), sorted by position:
19.11 deg, I = 34; 28.58 deg, I = 26; 33.43 deg, I = 100; 34.61 deg, I = 59; 44.54 deg, I = 49; 69.69 deg, I = 24

Structural model:
Cell: 5.361 5.361 3.123 Å, 90.00 90.00 120.00°
Fractional coordinates of all 3 atoms:
Th 0.333 0.667 0.000
Th 0.667 0.333 0.000
Cu 0.000 0.000 0.500

---

No. 3
Structure and calculated X-ray powder pattern of Ba6Cu11F34 (a crystal structure in the Materials Project, relaxed with GGA-PBE; Cu Kα X-rays).
Intensities are scaled so that the largest is 100.

The 6 most intense peaks (10 to 90 degrees two-theta), sorted by position:
25.78 deg, I = 53; 26.53 deg, I = 100; 27.02 deg, I = 82; 28.31 deg, I = 54; 29.68 deg, I = 85; 41.95 deg, I = 87

Structural model:
Cell: 7.577 10.159 10.449 Å, 83.99 74.45 70.30°
Fractional coordinates of all 51 atoms:
Ba 0.138 0.411 0.285
Ba 0.168 0.157 0.972
Ba 0.282 0.862 0.647
Ba 0.718 0.138 0.353
Ba 0.832 0.843 0.028
Ba 0.862 0.589 0.715
Cu 0.202 0.756 0.271
Cu 0.239 0.241 0.620
Cu 0.314 0.489 0.818
Cu 0.317 0.019 0.294
Cu 0.400 0.758 0.974
Cu 0.500 0.500 0.500
Cu 0.600 0.242 0.026
Cu 0.683 0.981 0.706
Cu 0.686 0.511 0.182
Cu 0.761 0.759 0.380
Cu 0.798 0.244 0.729
F 0.013 0.359 0.564
F 0.039 0.116 0.758
F 0.062 0.611 0.892
F 0.080 0.146 0.261
F 0.173 0.883 0.922
F 0.181 0.364 0.770
F 0.203 0.883 0.397
F 0.213 0.643 0.135
F 0.254 0.604 0.612
F 0.306 0.103 0.489
F 0.352 0.347 0.996
F 0.383 0.907 0.086
F 0.400 0.359 0.461
F 0.425 0.106 0.706
F 0.434 0.156 0.214
F 0.437 0.626 0.835
F 0.442 0.622 0.300
F 0.558 0.378 0.700
F 0.563 0.374 0.165
F 0.566 0.844 0.786
F 0.575 0.894 0.294
F 0.600 0.641 0.539
F 0.617 0.093 0.914
F 0.648 0.653 0.004
F 0.694 0.897 0.511
F 0.746 0.396 0.388
F 0.787 0.357 0.865
F 0.797 0.117 0.603
F 0.819 0.636 0.230
F 0.827 0.117 0.078
F 0.920 0.854 0.739
F 0.938 0.389 0.108
F 0.961 0.884 0.242
F 0.987 0.641 0.436

---

No. 4
Structure and calculated X-ray powder pattern of CsZrOF5 (a crystal structure in the Materials Project, relaxed with GGA-PBE; Cu Kα X-rays).
Intensities are scaled so that the largest is 100.

The 6 most intense peaks (10 to 90 degrees two-theta), sorted by position:
20.87 deg, I = 100; 22.49 deg, I = 59; 23.95 deg, I = 57; 24.99 deg, I = 70; 25.24 deg, I = 76; 36.16 deg, I = 61

Structural model:
Cell: 5.326 7.225 8.432 Å, 71.55 79.93 84.32°
Fractional coordinates of all 16 atoms:
Cs 0.152 0.361 0.272
Cs 0.848 0.639 0.728
Zr 0.276 0.084 0.847
Zr 0.724 0.916 0.153
O 0.495 0.741 0.400
O 0.505 0.259 0.600
F 0.071 0.827 0.013
F 0.081 0.263 0.655
F 0.309 0.903 0.702
F 0.352 0.036 0.116
F 0.399 0.352 0.839
F 0.601 0.648 0.161
F 0.648 0.964 0.884
F 0.691 0.097 0.298
F 0.919 0.737 0.345
F 0.929 0.173 0.987

---

No. 5
Structure and calculated X-ray powder pattern of BaPrSn2S6 (a crystal structure in the Materials Project, relaxed with GGA-PBE; Cu Kα X-rays).
Intensities are scaled so that the largest is 100.

The 6 most intense peaks (10 to 90 degrees two-theta), sorted by position:
25.73 deg, I = 50; 26.41 deg, I = 71; 26.65 deg, I = 100; 32.06 deg, I = 55; 44.63 deg, I = 37; 46.09 deg, I = 41

Structural model:
Cell: 4.061 20.278 12.097 Å, 90.00 90.00 90.00°
Fractional coordinates of all 40 atoms:
Ba 0.000 0.079 0.000
Ba 0.000 0.362 0.565
Ba 0.000 0.638 0.065
Ba 0.000 0.921 0.500
Pr 0.000 0.121 0.634
Pr 0.000 0.418 0.945
Pr 0.000 0.582 0.445
Pr 0.000 0.879 0.134
Sn 0.000 0.255 0.214
Sn 0.000 0.745 0.714
Sn 0.500 0.093 0.324
Sn 0.500 0.249 0.817
Sn 0.500 0.424 0.271
Sn 0.500 0.576 0.771
Sn 0.500 0.751 0.317
Sn 0.500 0.907 0.824
S 0.000 0.017 0.258
S 0.000 0.167 0.396
S 0.000 0.258 0.939
S 0.000 0.492 0.221
S 0.000 0.508 0.721
S 0.000 0.742 0.439
S 0.000 0.833 0.896
S 0.000 0.983 0.758
S 0.500 0.043 0.520
S 0.500 0.122 0.812
S 0.500 0.162 0.149
S 0.500 0.231 0.614
S 0.500 0.318 0.366
S 0.500 0.362 0.089
S 0.500 0.372 0.782
S 0.500 0.477 0.466
S 0.500 0.523 0.966
S 0.500 0.628 0.282
S 0.500 0.638 0.589
S 0.500 0.682 0.866
S 0.500 0.769 0.114
S 0.500 0.838 0.649
S 0.500 0.878 0.312
S 0.500 0.957 0.020

---

No. 6
Structure and calculated X-ray powder pattern of CaMg14Co (a crystal structure in the Materials Project, relaxed with GGA-PBE; Cu Kα X-rays).
Intensities are scaled so that the largest is 100.

The 6 most intense peaks (10 to 90 degrees two-theta), sorted by position:
32.29 deg, I = 26; 35.34 deg, I = 23; 36.94 deg, I = 100; 48.62 deg, I = 15; 57.59 deg, I = 17; 69.41 deg, I = 17

Structural model:
Cell: 6.402 6.402 10.158 Å, 90.00 90.00 120.00°
Fractional coordinates of all 16 atoms:
Ca 0.000 0.000 0.000
Mg 0.010 0.505 0.000
Mg 0.161 0.323 0.272
Mg 0.161 0.323 0.728
Mg 0.161 0.839 0.272
Mg 0.161 0.839 0.728
Mg 0.495 0.505 0.000
Mg 0.495 0.990 0.000
Mg 0.504 0.007 0.500
Mg 0.504 0.496 0.500
Mg 0.667 0.333 0.240
Mg 0.667 0.333 0.760
Mg 0.677 0.839 0.272
Mg 0.677 0.839 0.728
Mg 0.993 0.496 0.500
Co 0.000 0.000 0.500

---

No. 7
Structure and calculated X-ray powder pattern of MgZn (a crystal structure in the Materials Project, relaxed with GGA-PBE; Cu Kα X-rays).
Intensities are scaled so that the largest is 100.

The 6 most intense peaks (10 to 90 degrees two-theta), sorted by position:
20.20 deg, I = 55; 21.63 deg, I = 30; 36.23 deg, I = 39; 39.33 deg, I = 45; 40.13 deg, I = 100; 50.09 deg, I = 26

Structural model:
Cell: 5.367 5.367 8.794 Å, 90.00 90.00 120.00°
Fractional coordinates of all 12 atoms:
Mg 0.000 0.000 0.000
Mg 0.000 0.000 0.500
Mg 0.333 0.667 0.064
Mg 0.333 0.667 0.436
Mg 0.667 0.333 0.564
Mg 0.667 0.333 0.936
Zn 0.173 0.346 0.750
Zn 0.173 0.827 0.750
Zn 0.346 0.173 0.250
Zn 0.654 0.827 0.750
Zn 0.827 0.173 0.250
Zn 0.827 0.654 0.250

---

No. 8
Structure and calculated X-ray powder pattern of SiO2 (a crystal structure in the Materials Project, relaxed with GGA-PBE; Cu Kα X-rays).
Intensities are scaled so that the largest is 100.

The 6 most intense peaks (10 to 90 degrees two-theta), sorted by position:
21.26 deg, I = 100; 27.55 deg, I = 7; 35.06 deg, I = 18; 46.96 deg, I = 6; 55.31 deg, I = 9; 62.89 deg, I = 7

Structural model:
Cell: 7.240 7.240 7.240 Å, 90.00 90.00 90.00°
Fractional coordinates of all 24 atoms:
Si 0.018 0.018 0.018
Si 0.224 0.724 0.776
Si 0.276 0.276 0.276
Si 0.482 0.982 0.518
Si 0.518 0.482 0.982
Si 0.724 0.776 0.224
Si 0.776 0.224 0.724
Si 0.982 0.518 0.482
O 0.054 0.640 0.656
O 0.140 0.844 0.946
O 0.147 0.147 0.147
O 0.156 0.446 0.360
O 0.344 0.554 0.860
O 0.353 0.853 0.647
O 0.360 0.156 0.446
O 0.446 0.360 0.156
O 0.554 0.860 0.344
O 0.640 0.656 0.054
O 0.647 0.353 0.853
O 0.656 0.054 0.640
O 0.844 0.946 0.140
O 0.853 0.647 0.353
O 0.860 0.344 0.554
O 0.946 0.140 0.844